Record 1
Diffraction record for Ta10Ni3. The PXRD pattern is simulated, not measured: it uses DFT lattice parameters and positions (GGA-PBE) and Cu Kα, 1.54184 Å.
Peak positions follow from Bragg's law for the DFT cell and can differ from measured ones.

Structure:
```
data_Ta10Ni3
_cell_length_a 5.3482
_cell_length_b 5.3482
_cell_length_c 27.2241
_cell_angle_alpha 90.00
_cell_angle_beta 90.00
_cell_angle_gamma 120.00
_space_group_name_H-M_alt 'R -3 m'
_space_group_IT_number 166
_space_group_name_Hall '-R 3 2"'
loop_
_atom_site_label
_atom_site_type_symbol
_atom_site_fract_x
_atom_site_fract_y
_atom_site_fract_z
Ta1 Ta 0.0000 0.0000 0.1500
Ta2 Ta 0.0000 0.0000 0.3336
Ta3 Ta 0.0025 0.5013 0.9109
Ni1 Ni 0.0000 0.0000 0.0483
Ni2 Ni 0.0000 0.0000 0.5000
```

The 10 most intense peaks (10° ≤ 2θ ≤ 80°), low angle first:
(1 1 0), 2.674 Å, intensity 15
(1 0 10), 2.347 Å, intensity 27
(1 1 6), 2.305 Å, intensity 100
(0 0 12), 2.269 Å, intensity 20
(0 2 4), 2.192 Å, intensity 29
(0 1 11), 2.183 Å, intensity 24
(2 0 5), 2.131 Å, intensity 40
(0 3 6), 1.462 Å, intensity 16
(2 2 0), 1.337 Å, intensity 22
(2 0 17), 1.317 Å, intensity 19

---

Record 2
Diffraction record for Ta12Ni17. The PXRD pattern is simulated, not measured: it uses DFT lattice parameters and positions (GGA-PBE) and Cu Kα, 1.54184 Å.
Peak positions follow from Bragg's law for the DFT cell and can differ from measured ones.

Structure:
```
data_Ta12Ni17
_cell_length_a 9.306
_cell_length_b 9.306
_cell_length_c 9.306
_cell_angle_alpha 90.00
_cell_angle_beta 90.00
_cell_angle_gamma 90.00
_space_group_name_H-M_alt 'I -4 3 m'
_space_group_IT_number 217
_space_group_name_Hall 'I -4 2 3'
loop_
_atom_site_label
_atom_site_type_symbol
_atom_site_fract_x
_atom_site_fract_y
_atom_site_fract_z
Ta1 Ta 0.075 0.358 0.642
Ni1 Ni 0.000 0.000 0.000
Ni2 Ni 0.094 0.094 0.718
Ni3 Ni 0.146 0.146 0.146
```

The 10 most intense peaks (10° ≤ 2θ ≤ 80°), low angle first:
(1 1 0), 6.580 Å, intensity 24
(2 2 2), 2.686 Å, intensity 38
(3 2 1), 2.487 Å, intensity 35
(4 0 0), 2.326 Å, intensity 49
(4 1 1), 2.193 Å, intensity 100
(3 3 2), 1.984 Å, intensity 40
(4 3 1), 1.825 Å, intensity 35
(6 1 1), 1.510 Å, intensity 13
(5 5 2), 1.266 Å, intensity 22
(7 3 0), 1.222 Å, intensity 20

---

Record 3
Diffraction record for Ta4Ni25. The PXRD pattern is simulated, not measured: it uses DFT lattice parameters and positions (GGA-PBE) and Cu Kα, 1.54184 Å.
Peak positions follow from Bragg's law for the DFT cell and can differ from measured ones.

Structure:
```
data_Ta4Ni25
_cell_length_a 8.774
_cell_length_b 8.774
_cell_length_c 8.774
_cell_angle_alpha 90.00
_cell_angle_beta 90.00
_cell_angle_gamma 90.00
_space_group_name_H-M_alt 'I -4 3 m'
_space_group_IT_number 217
_space_group_name_Hall 'I -4 2 3'
loop_
_atom_site_label
_atom_site_type_symbol
_atom_site_fract_x
_atom_site_fract_y
_atom_site_fract_z
Ta1 Ta 0.181 0.181 0.181
Ni1 Ni 0.000 0.000 0.000
Ni2 Ni 0.043 0.363 0.637
Ni3 Ni 0.093 0.093 0.718
```

The 10 most intense peaks (10° ≤ 2θ ≤ 80°), low angle first:
(2 0 0), 4.387 Å, intensity 7
(2 1 1), 3.582 Å, intensity 14
(3 2 1), 2.345 Å, intensity 7
(4 0 0), 2.194 Å, intensity 5
(3 3 0), 2.068 Å, intensity 100
(3 3 2), 1.871 Å, intensity 19
(4 2 2), 1.791 Å, intensity 12
(5 3 2), 1.423 Å, intensity 6
(4 4 4), 1.266 Å, intensity 5
(5 5 0), 1.241 Å, intensity 8

---

Record 4
Diffraction record for TaNi5. The PXRD pattern is simulated, not measured: it uses DFT lattice parameters and positions (GGA-PBE) and Cu Kα, 1.54184 Å.
Peak positions follow from Bragg's law for the DFT cell and can differ from measured ones.

Structure:
```
data_TaNi5
_cell_length_a 4.6349
_cell_length_b 4.6349
_cell_length_c 8.0292
_cell_angle_alpha 90.00
_cell_angle_beta 90.00
_cell_angle_gamma 120.00
_space_group_name_H-M_alt 'P 63/m m c'
_space_group_IT_number 194
_space_group_name_Hall '-P 6c 2c'
loop_
_atom_site_label
_atom_site_type_symbol
_atom_site_fract_x
_atom_site_fract_y
_atom_site_fract_z
Ta1 Ta 0.0000 0.0000 0.0000
Ni1 Ni 0.1728 0.3455 0.2500
Ni2 Ni 0.3333 0.6667 0.5763
```

The 10 most intense peaks (10° ≤ 2θ ≤ 80°), low angle first:
(1 0 0), 4.014 Å, intensity 54
(1 0 2), 2.839 Å, intensity 31
(1 1 0), 2.317 Å, intensity 39
(1 0 3), 2.227 Å, intensity 34
(0 0 4), 2.007 Å, intensity 100
(2 0 1), 1.947 Å, intensity 36
(2 0 2), 1.795 Å, intensity 64
(2 1 0), 1.517 Å, intensity 11
(3 0 2), 1.269 Å, intensity 27
(2 1 4), 1.210 Å, intensity 20